Starting from a DFT-relaxed cell (GGA+U, Alexandria), the X-ray powder pattern of Li4Ti5Co3O16 was calculated for Cu Kα, 1.54184 Å.

Largest 10 diffraction maxima, most intense first, 10° ≤ 2θ ≤ 90°:
- 18.36°, d = 4.832 Å, I = 100
- 19.67°, d = 4.514 Å, I = 76
- 19.56°, d = 4.539 Å, I = 63
- 45.11°, d = 2.010 Å, I = 44
- 32.80°, d = 2.731 Å, I = 40
- 35.60°, d = 2.522 Å, I = 35
- 59.84°, d = 1.546 Å, I = 32
- 39.71°, d = 2.270 Å, I = 31
- 45.29°, d = 2.002 Å, I = 28
- 36.13°, d = 2.486 Å, I = 28

Atomic structure:
Lattice parameters (Å, degrees): 5.8894 5.9149 9.6651 89.85 89.71 60.45
Positions (direct):
Li1 0.0000 0.0000 0.0000
Li2 0.0157 0.9787 0.4901
Li3 0.3290 0.3280 0.4018
Li4 0.6800 0.6526 0.9035
Ti1 0.2154 0.1226 0.7217
Ti2 0.3261 0.3445 0.0064
Ti3 0.6674 0.1992 0.7142
Ti4 0.6758 0.6783 0.4855
Ti5 0.8151 0.3375 0.2293
Co1 0.1548 0.6457 0.7175
Co2 0.3510 0.8347 0.2128
Co3 0.8168 0.8289 0.2111
O1 0.0041 0.9958 0.3019
O2 0.0518 0.4618 0.8375
O3 0.1656 0.1773 0.0954
O4 0.1687 0.6601 0.0889
O5 0.3373 0.8164 0.6027
O6 0.3449 0.3055 0.6074
O7 0.4935 0.0175 0.8362
O8 0.4959 0.4654 0.8401
O9 0.5145 0.9553 0.3572
O10 0.5258 0.5012 0.3460
O11 0.6577 0.1778 0.0968
O12 0.6697 0.6469 0.1060
O13 0.8348 0.8253 0.5963
O14 0.8383 0.3204 0.5981
O15 0.9591 0.5041 0.3491
O16 0.9978 0.9959 0.8094